Record 1
Simulated X-ray powder pattern of Tb2B6Ru for copper Kα, from the PBE geometry in Alexandria.
Kinematic intensities with the Lorentz-polarization factor, no thermal factor.

abc: 9.1888 11.5543 3.6832
angles: 90.00 90.00 90.00
Fractional positions:
Tb (0.0562, 0.1275, 0.0000)
Tb (0.1768, 0.4135, 0.0000)
Tb (0.3232, 0.9135, 0.0000)
Tb (0.4438, 0.6275, 0.0000)
Tb (0.5562, 0.3725, 0.0000)
Tb (0.6768, 0.0865, 0.0000)
Tb (0.8232, 0.5865, 0.0000)
Tb (0.9438, 0.8725, 0.0000)
B (0.0157, 0.2872, 0.5000)
B (0.0538, 0.5674, 0.5000)
B (0.1119, 0.9690, 0.5000)
B (0.1323, 0.8141, 0.5000)
B (0.2099, 0.2328, 0.5000)
B (0.2472, 0.5800, 0.5000)
B (0.2528, 0.0800, 0.5000)
B (0.2901, 0.7328, 0.5000)
B (0.3677, 0.3141, 0.5000)
B (0.3881, 0.4690, 0.5000)
B (0.4462, 0.0674, 0.5000)
B (0.4843, 0.7872, 0.5000)
B (0.5157, 0.2128, 0.5000)
B (0.5538, 0.9326, 0.5000)
B (0.6119, 0.5310, 0.5000)
B (0.6323, 0.6859, 0.5000)
B (0.7099, 0.2672, 0.5000)
B (0.7472, 0.9200, 0.5000)
B (0.7528, 0.4200, 0.5000)
B (0.7901, 0.7672, 0.5000)
B (0.8677, 0.1859, 0.5000)
B (0.8881, 0.0310, 0.5000)
B (0.9462, 0.4326, 0.5000)
B (0.9843, 0.7128, 0.5000)
Ru (0.1379, 0.6786, 0.0000)
Ru (0.3621, 0.1786, 0.0000)
Ru (0.6379, 0.8214, 0.0000)
Ru (0.8621, 0.3214, 0.0000)

Largest 10 diffraction maxima, in order of rising 2θ, 10° ≤ 2θ ≤ 90°:
Position (°2θ), I_rel
24.16, 100
30.23, 75
30.96, 27
32.49, 25
33.10, 26
39.07, 93
39.65, 33
40.90, 32
41.40, 34
49.49, 23

***

Record 2
Simulated X-ray powder pattern of Na5Sb2Pt for copper Kα, from the PBE geometry in Alexandria.
Kinematic intensities with the Lorentz-polarization factor, no thermal factor.

abc: 5.2347 5.2347 19.1616
angles: 90.00 90.00 120.00
Fractional positions:
Na (0.0000, 0.0000, 0.1615)
Na (0.0000, 0.0000, 0.3385)
Na (0.0000, 0.0000, 0.6615)
Na (0.0000, 0.0000, 0.8385)
Na (0.3333, 0.6667, 0.0522)
Na (0.3333, 0.6667, 0.2500)
Na (0.3333, 0.6667, 0.4478)
Na (0.6667, 0.3333, 0.5522)
Na (0.6667, 0.3333, 0.7500)
Na (0.6667, 0.3333, 0.9478)
Sb (0.3333, 0.6667, 0.6159)
Sb (0.3333, 0.6667, 0.8841)
Sb (0.6667, 0.3333, 0.1159)
Sb (0.6667, 0.3333, 0.3841)
Pt (0.3333, 0.6667, 0.7500)
Pt (0.6667, 0.3333, 0.2500)

Largest 10 diffraction maxima, in order of rising 2θ, 10° ≤ 2θ ≤ 90°:
Position (°2θ), I_rel
19.58, 31
20.13, 100
34.28, 72
38.41, 37
40.06, 17
51.74, 16
52.41, 15
53.71, 15
61.37, 16
64.12, 16

***

Record 3
Simulated X-ray powder pattern of ScSn2 for copper Kα, from the PBE geometry in Alexandria.
Kinematic intensities with the Lorentz-polarization factor, no thermal factor.

abc: 5.7839 5.7839 5.7839
angles: 142.23 142.23 54.48
Fractional positions:
Sc (0.0000, 0.0000, 0.0000)
Sn (0.3379, 0.3379, 0.0000)
Sn (0.6621, 0.6621, 0.0000)

Largest 10 diffraction maxima, in order of rising 2θ, 10° ≤ 2θ ≤ 90°:
Position (°2θ), I_rel
25.31, 19
33.86, 57
35.50, 100
48.64, 21
53.45, 8
61.65, 41
64.79, 17
75.15, 11
81.25, 10
82.20, 9

***

Record 4
Simulated X-ray powder pattern of Tb3ErIn2 for copper Kα, from the PBE geometry in Alexandria.
Kinematic intensities with the Lorentz-polarization factor, no thermal factor.

abc: 5.1931 9.8290 6.7150
angles: 90.00 90.00 90.00
Fractional positions:
Tb (0.0000, 0.0354, 0.0000)
Tb (0.0000, 0.3216, 0.3463)
Tb (0.0000, 0.6784, 0.8463)
Tb (0.0000, 0.9646, 0.5000)
Tb (0.5000, 0.1820, 0.7226)
Tb (0.5000, 0.8180, 0.2226)
Er (0.5000, 0.4633, 0.0679)
Er (0.5000, 0.5367, 0.5679)
In (0.0000, 0.3572, 0.8252)
In (0.0000, 0.6428, 0.3252)
In (0.5000, 0.1435, 0.2445)
In (0.5000, 0.8565, 0.7445)

Largest 10 diffraction maxima, in order of rising 2θ, 10° ≤ 2θ ≤ 90°:
Position (°2θ), I_rel
31.74, 29
32.30, 100
33.05, 61
34.54, 40
38.39, 14
48.01, 17
52.59, 11
58.56, 16
60.49, 12
60.92, 17

***

Record 5
Simulated X-ray powder pattern of Sm5Y4Cd2 for copper Kα, from the PBE geometry in Alexandria.
Kinematic intensities with the Lorentz-polarization factor, no thermal factor.

abc: 8.8585 3.5775 10.9637
angles: 90.00 93.67 90.00
Fractional positions:
Sm (0.0000, 0.0000, 0.0000)
Sm (0.0481, 0.0000, 0.3270)
Sm (0.2998, 0.0000, 0.8401)
Sm (0.7002, 0.0000, 0.1599)
Sm (0.9519, 0.0000, 0.6730)
Y (0.2709, 0.5000, 0.5568)
Y (0.3439, 0.5000, 0.1234)
Y (0.6561, 0.5000, 0.8766)
Y (0.7291, 0.5000, 0.4432)
Cd (0.4307, 0.0000, 0.3597)
Cd (0.5693, 0.0000, 0.6403)

Largest 10 diffraction maxima, in order of rising 2θ, 10° ≤ 2θ ≤ 90°:
Position (°2θ), I_rel
24.89, 53
30.33, 50
30.77, 45
30.92, 67
31.20, 59
31.90, 100
32.19, 44
32.80, 97
33.57, 49
33.67, 55

***

Record 6
Simulated X-ray powder pattern of Sr2Ga3Pt5 for copper Kα, from the PBE geometry in Alexandria.
Kinematic intensities with the Lorentz-polarization factor, no thermal factor.

abc: 8.9155 8.9155 8.9155
angles: 111.40 81.95 140.82
Fractional positions:
Sr (0.1392, 0.2342, 0.3734)
Sr (0.3608, 0.7342, 0.0950)
Sr (0.6392, 0.2658, 0.9050)
Sr (0.8608, 0.7658, 0.6266)
Ga (0.1076, 0.6446, 0.7523)
Ga (0.2500, 0.2500, 0.0000)
Ga (0.3924, 0.1446, 0.5370)
Ga (0.6076, 0.8554, 0.4630)
Ga (0.7500, 0.7500, 0.0000)
Ga (0.8924, 0.3554, 0.2477)
Pt (0.0329, 0.7500, 0.2829)
Pt (0.1281, 0.8901, 0.0182)
Pt (0.2500, 0.7500, 0.5000)
Pt (0.3719, 0.3901, 0.7620)
Pt (0.4671, 0.7500, 0.7171)
Pt (0.5329, 0.2500, 0.2829)
Pt (0.6281, 0.6099, 0.2380)
Pt (0.7500, 0.2500, 0.5000)
Pt (0.8719, 0.1099, 0.9818)
Pt (0.9671, 0.2500, 0.7171)

Largest 10 diffraction maxima, in order of rising 2θ, 10° ≤ 2θ ≤ 90°:
Position (°2θ), I_rel
17.65, 70
21.75, 25
31.98, 84
33.43, 78
34.49, 32
34.93, 63
40.36, 100
45.03, 36
47.26, 42
51.34, 19